Record 1
The following is a simulated X-ray diffraction stick pattern of N. It was derived from a cell relaxed with GGA-PBE, using copper Kα.
Neutral-atom scattering factors, no anomalous dispersion.

Structural model:
```
data_N
_chemical_formula_sum 'N4'
_cell_length_a 4.062
_cell_length_b 4.062
_cell_length_c 5.338
_cell_angle_alpha 90.00
_cell_angle_beta 90.00
_cell_angle_gamma 90.00
_symmetry_space_group_name_H-M 'P 1'
_symmetry_Int_Tables_number 1
loop_
_symmetry_equiv_pos_as_xyz
'x,y,z'
loop_
_atom_site_label
_atom_site_type_symbol
_atom_site_fract_x
_atom_site_fract_y
_atom_site_fract_z
_atom_site_occupancy
N1 N 0.097 0.097 0.000 1
N2 N 0.403 0.597 0.500 1
N3 N 0.597 0.403 0.500 1
N4 N 0.903 0.903 0.000 1
```

Most intense lines, 2θ from 5° to 70°, by intensity:
Position (°2θ)  d_spacing  I_rel
27.59  3.233  1000
31.14  2.872  229
33.58  2.669  197
46.44  1.955  107
56.46  1.630  72
35.49  2.529  69

Record 2
The following is a simulated X-ray diffraction stick pattern of Gd4Ga12Pd. It was derived from a cell relaxed with GGA-PBE, using copper Kα.
Neutral-atom scattering factors, no anomalous dispersion.

Structural model:
```
data_Gd4Ga12Pd
_chemical_formula_sum 'Gd4 Ga12 Pd1'
_cell_length_a 8.129
_cell_length_b 8.129
_cell_length_c 8.129
_cell_angle_alpha 109.47
_cell_angle_beta 109.47
_cell_angle_gamma 109.47
_symmetry_space_group_name_H-M 'P 1'
_symmetry_Int_Tables_number 1
loop_
_symmetry_equiv_pos_as_xyz
'x,y,z'
loop_
_atom_site_label
_atom_site_type_symbol
_atom_site_fract_x
_atom_site_fract_y
_atom_site_fract_z
_atom_site_occupancy
Gd1 Gd 0.000 0.000 0.500 1
Gd2 Gd 0.000 0.500 0.000 1
Gd3 Gd 0.500 0.000 0.000 1
Gd4 Gd 0.500 0.500 0.500 1
Ga1 Ga 0.000 0.296 0.296 1
Ga2 Ga 0.000 0.704 0.704 1
Ga3 Ga 0.250 0.500 0.750 1
Ga4 Ga 0.250 0.750 0.500 1
Ga5 Ga 0.296 0.000 0.296 1
Ga6 Ga 0.296 0.296 0.000 1
Ga7 Ga 0.500 0.250 0.750 1
Ga8 Ga 0.500 0.750 0.250 1
Ga9 Ga 0.704 0.000 0.704 1
Ga10 Ga 0.704 0.704 0.000 1
Ga11 Ga 0.750 0.250 0.500 1
Ga12 Ga 0.750 0.500 0.250 1
Pd1 Pd 0.000 0.000 0.000 1
```

Most intense lines, 2θ from 5° to 70°, by intensity:
Position (°2θ)  d_spacing  I_rel
33.06  2.710  1000
38.36  2.347  663
55.37  1.659  400
26.87  3.319  337
66.02  1.415  314
69.37  1.355  118

Record 3
The following is a simulated X-ray diffraction stick pattern of Mg2Al4Zn3. It was derived from a cell relaxed with GGA-PBE, using copper Kα.
Neutral-atom scattering factors, no anomalous dispersion.

Structural model:
```
data_Mg2Al4Zn3
_chemical_formula_sum 'Mg4 Al8 Zn6'
_cell_length_a 5.359
_cell_length_b 5.359
_cell_length_c 13.997
_cell_angle_alpha 90.00
_cell_angle_beta 90.00
_cell_angle_gamma 120.00
_symmetry_space_group_name_H-M 'P 1'
_symmetry_Int_Tables_number 1
loop_
_symmetry_equiv_pos_as_xyz
'x,y,z'
loop_
_atom_site_label
_atom_site_type_symbol
_atom_site_fract_x
_atom_site_fract_y
_atom_site_fract_z
_atom_site_occupancy
Mg1 Mg 0.333 0.667 0.049 1
Mg2 Mg 0.333 0.667 0.453 1
Mg3 Mg 0.667 0.333 0.547 1
Mg4 Mg 0.667 0.333 0.951 1
Al1 Al 0.000 0.000 0.000 1
Al2 Al 0.000 0.000 0.500 1
Al3 Al 0.168 0.336 0.656 1
Al4 Al 0.168 0.832 0.656 1
Al5 Al 0.336 0.168 0.344 1
Al6 Al 0.664 0.832 0.656 1
Al7 Al 0.832 0.168 0.344 1
Al8 Al 0.832 0.664 0.344 1
Zn1 Zn 0.169 0.337 0.843 1
Zn2 Zn 0.169 0.831 0.843 1
Zn3 Zn 0.337 0.169 0.157 1
Zn4 Zn 0.663 0.831 0.843 1
Zn5 Zn 0.831 0.169 0.157 1
Zn6 Zn 0.831 0.663 0.157 1
```

Most intense lines, 2θ from 5° to 70°, by intensity:
Position (°2θ)  d_spacing  I_rel
6.31  13.997  1000
39.36  2.289  995
20.16  4.406  397
51.12  1.787  370
37.52  2.397  369
19.02  4.666  332